(1)
Diffraction record for Hg3Te2. The PXRD pattern is computed, not measured: it uses a PBE-relaxed structure and Cu Kα (λ = 1.5418 Å).
Intensities are scaled so that the largest is 100.

Structure:
```
data_Hg3Te2
_chemical_formula_sum 'Hg12 Te8'
_space_group_name_H-M_alt 'C 1 2 1'
_space_group_IT_number 5
_cell_length_a 21.925
_cell_length_b 2.838
_cell_length_c 15.602
_cell_angle_alpha 90.00
_cell_angle_beta 134.59
_cell_angle_gamma 90.00
loop_
_space_group_symop_operation_xyz
'x,y,z'
'-x,y,-z'
'x+1/2,y+1/2,z'
'-x+1/2,y+1/2,-z'
loop_
_atom_site_label
_atom_site_fract_x
_atom_site_fract_y
_atom_site_fract_z
Hg1 0.000 0.000 0.000
Hg2 0.000 0.247 0.500
Hg3 0.110 0.062 0.929
Hg4 0.181 0.309 0.571
Te1 0.118 0.995 0.294
Te2 0.176 0.242 0.794
```

Main lines, by angle (2θ = 10–90°):
- d 5.556, I = 41
- d 4.956, I = 73
- d 3.509, I = 62
- d 3.471, I = 88
- d 3.053, I = 41
- d 2.792, I = 100
- d 2.693, I = 54
- d 2.661, I = 37
- d 2.094, I = 61
- d 1.906, I = 35



(2)
Diffraction record for Hg3Te2. The PXRD pattern is computed, not measured: it uses a PBE-relaxed structure and Cu Kα (λ = 1.5418 Å).
Intensities are scaled so that the largest is 100.

Structure:
```
data_Hg3Te2
_chemical_formula_sum 'Hg18 Te12'
_space_group_name_H-M_alt 'C 1 2/m 1'
_space_group_IT_number 12
_cell_length_a 21.243
_cell_length_b 4.690
_cell_length_c 12.819
_cell_angle_alpha 90.00
_cell_angle_beta 116.58
_cell_angle_gamma 90.00
loop_
_space_group_symop_operation_xyz
'x,y,z'
'-x,-y,-z'
'-x,y,-z'
'x,-y,z'
'x+1/2,y+1/2,z'
'-x+1/2,-y+1/2,-z'
'-x+1/2,y+1/2,-z'
'x+1/2,-y+1/2,z'
loop_
_atom_site_label
_atom_site_fract_x
_atom_site_fract_y
_atom_site_fract_z
Hg1 0.000 0.000 0.000
Hg2 0.042 0.000 0.684
Hg3 0.165 0.500 0.327
Hg4 0.172 0.500 0.953
Hg5 0.185 0.500 0.659
Te1 0.027 0.500 0.798
Te2 0.114 0.000 0.542
Te3 0.211 0.000 0.110
```

Main lines, by angle (2θ = 10–90°):
- d 3.823, I = 54
- d 3.768, I = 100
- d 3.257, I = 47
- d 3.166, I = 32
- d 3.133, I = 75
- d 2.548, I = 26
- d 2.385, I = 68
- d 2.345, I = 47
- d 1.923, I = 22
- d 1.903, I = 22



(3)
Diffraction record for Th6HgTe5. The PXRD pattern is computed, not measured: it uses a PBE-relaxed structure and Cu Kα (λ = 1.5418 Å).
Intensities are scaled so that the largest is 100.

Structure:
```
data_Th6HgTe5
_chemical_formula_sum 'Th12 Hg2 Te10'
_space_group_name_H-M_alt 'C 1 2/m 1'
_space_group_IT_number 12
_cell_length_a 7.849
_cell_length_b 13.337
_cell_length_c 7.677
_cell_angle_alpha 90.00
_cell_angle_beta 109.03
_cell_angle_gamma 90.00
loop_
_space_group_symop_operation_xyz
'x,y,z'
'-x,-y,-z'
'-x,y,-z'
'x,-y,z'
'x+1/2,y+1/2,z'
'-x+1/2,-y+1/2,-z'
'-x+1/2,y+1/2,-z'
'x+1/2,-y+1/2,z'
loop_
_atom_site_label
_atom_site_fract_x
_atom_site_fract_y
_atom_site_fract_z
Th1 0.232 0.000 0.240
Th2 0.241 0.164 0.740
Hg1 0.000 0.000 0.500
Te1 0.000 0.175 0.000
Te2 0.000 0.340 0.500
Te3 0.000 0.500 0.000
```

Main lines, by angle (2θ = 10–90°):
- d 3.634, I = 8
- d 3.163, I = 100
- d 2.254, I = 39
- d 2.220, I = 38
- d 1.855, I = 7
- d 1.818, I = 14
- d 1.581, I = 13
- d 1.423, I = 18
- d 1.405, I = 12
- d 1.287, I = 9



(4)
Diffraction record for Th4Hg3Te. The PXRD pattern is computed, not measured: it uses a PBE-relaxed structure and Cu Kα (λ = 1.5418 Å).
Intensities are scaled so that the largest is 100.

Structure:
```
data_Th4Hg3Te
_chemical_formula_sum 'Th4 Hg3 Te1'
_space_group_name_H-M_alt 'P 4/m m m'
_space_group_IT_number 123
_space_group_name_Hall '-P 4 2'
_cell_length_a 3.814
_cell_length_b 3.814
_cell_length_c 15.570
_cell_angle_alpha 90.00
_cell_angle_beta 90.00
_cell_angle_gamma 90.00
loop_
_atom_site_label
_atom_site_fract_x
_atom_site_fract_y
_atom_site_fract_z
Th1 0.000 0.000 0.124
Th2 0.000 0.000 0.375
Hg1 0.500 0.500 0.000
Hg2 0.500 0.500 0.246
Te1 0.500 0.500 0.500
```

Main lines, by angle (2θ = 10–90°):
- d 2.724, I = 100
- d 2.697, I = 49
- d 1.946, I = 10
- d 1.907, I = 18
- d 1.578, I = 20
- d 1.562, I = 38
- d 1.362, I = 12
- d 1.228, I = 9
- d 1.209, I = 8
- d 1.206, I = 8



(5)
Diffraction record for ThHgTe. The PXRD pattern is computed, not measured: it uses a PBE-relaxed structure and Cu Kα (λ = 1.5418 Å).
Intensities are scaled so that the largest is 100.

Structure:
```
data_ThHgTe
_chemical_formula_sum 'Th4 Hg4 Te4'
_space_group_name_H-M_alt 'P 1 2/m 1'
_space_group_IT_number 10
_cell_length_a 10.792
_cell_length_b 3.980
_cell_length_c 11.120
_cell_angle_alpha 90.00
_cell_angle_beta 112.17
_cell_angle_gamma 90.00
loop_
_space_group_symop_operation_xyz
'x,y,z'
'-x,-y,-z'
'-x,y,-z'
'x,-y,z'
loop_
_atom_site_label
_atom_site_fract_x
_atom_site_fract_y
_atom_site_fract_z
Th1 0.084 0.000 0.168
Th2 0.351 0.500 0.530
Hg1 0.037 0.500 0.373
Hg2 0.179 0.000 0.633
Te1 0.167 0.500 0.980
Te2 0.403 0.000 0.319
```

Main lines, by angle (2θ = 10–90°):
- d 3.149, I = 61
- d 2.994, I = 79
- d 2.868, I = 45
- d 2.751, I = 50
- d 2.712, I = 45
- d 2.667, I = 100
- d 2.635, I = 33
- d 2.424, I = 31
- d 2.107, I = 28
- d 1.990, I = 38



(6)
Diffraction record for Th2HgTe4. The PXRD pattern is computed, not measured: it uses a PBE-relaxed structure and Cu Kα (λ = 1.5418 Å).
Intensities are scaled so that the largest is 100.

Structure:
```
data_Th2HgTe4
_chemical_formula_sum 'Th4 Hg2 Te8'
_space_group_name_H-M_alt 'I 4 m m'
_space_group_IT_number 107
_space_group_name_Hall 'I 4 -2'
_cell_length_a 7.348
_cell_length_b 7.348
_cell_length_c 7.979
_cell_angle_alpha 90.00
_cell_angle_beta 90.00
_cell_angle_gamma 90.00
loop_
_atom_site_label
_atom_site_fract_x
_atom_site_fract_y
_atom_site_fract_z
Th1 0.000 0.500 0.000
Hg1 0.000 0.000 0.001
Te1 0.250 0.250 0.250
```

Main lines, by angle (2θ = 10–90°):
- d 5.405, I = 16
- d 5.196, I = 12
- d 2.703, I = 100
- d 2.598, I = 45
- d 1.995, I = 10
- d 1.837, I = 16
- d 1.582, I = 20
- d 1.519, I = 35
- d 1.351, I = 12
- d 1.251, I = 9



(7)
Diffraction record for ThHgTe3. The PXRD pattern is computed, not measured: it uses a PBE-relaxed structure and Cu Kα (λ = 1.5418 Å).
Intensities are scaled so that the largest is 100.

Structure:
```
data_ThHgTe3
_chemical_formula_sum 'Th2 Hg2 Te6'
_space_group_name_H-M_alt 'P 1 21/m 1'
_space_group_IT_number 11
_cell_length_a 7.650
_cell_length_b 4.342
_cell_length_c 9.926
_cell_angle_alpha 90.00
_cell_angle_beta 101.42
_cell_angle_gamma 90.00
loop_
_space_group_symop_operation_xyz
'x,y,z'
'-x,-y,-z'
'-x,y+1/2,-z'
'x,-y+1/2,z'
loop_
_atom_site_label
_atom_site_fract_x
_atom_site_fract_y
_atom_site_fract_z
Th1 0.032 0.250 0.225
Hg1 0.399 0.750 0.728
Te1 0.132 0.250 0.572
Te2 0.209 0.250 0.956
Te3 0.340 0.750 0.319
```

Main lines, by angle (2θ = 10–90°):
- d 4.865, I = 23
- d 3.965, I = 15
- d 3.218, I = 13
- d 2.839, I = 100
- d 2.735, I = 22
- d 2.721, I = 12
- d 2.598, I = 35
- d 2.171, I = 22
- d 2.063, I = 12
- d 1.799, I = 14



(8)
Diffraction record for Ti4HgTe8. The PXRD pattern is computed, not measured: it uses a PBE-relaxed structure and Cu Kα (λ = 1.5418 Å).
Intensities are scaled so that the largest is 100.

Structure:
```
data_Ti4HgTe8
_chemical_formula_sum 'Ti12 Hg3 Te24'
_space_group_name_H-M_alt 'R -3 m'
_space_group_IT_number 166
_space_group_name_Hall '-R 3 2"'
_cell_length_a 7.5241
_cell_length_b 7.5241
_cell_length_c 26.3130
_cell_angle_alpha 90.00
_cell_angle_beta 90.00
_cell_angle_gamma 120.00
loop_
_atom_site_label
_atom_site_fract_x
_atom_site_fract_y
_atom_site_fract_z
Ti1 0.0000 0.0000 0.0000
Ti2 0.0000 0.5000 0.0000
Hg1 0.0000 0.0000 0.5000
Te1 0.0000 0.0000 0.2671
Te2 0.0002 0.5001 0.2674
```

Main lines, by angle (2θ = 10–90°):
- d 8.771, I = 26
- d 6.325, I = 13
- d 3.162, I = 22
- d 2.920, I = 100
- d 2.462, I = 15
- d 2.315, I = 29
- d 1.928, I = 13
- d 1.881, I = 28
- d 1.582, I = 13
- d 1.581, I = 14



(9)
Diffraction record for Tl6Hg5Te. The PXRD pattern is computed, not measured: it uses a PBE-relaxed structure and Cu Kα (λ = 1.5418 Å).
Intensities are scaled so that the largest is 100.

Structure:
```
data_Tl6Hg5Te
_chemical_formula_sum 'Tl6 Hg5 Te1'
_space_group_name_H-M_alt 'P 1 2/m 1'
_space_group_IT_number 10
_cell_length_a 5.430
_cell_length_b 7.650
_cell_length_c 9.123
_cell_angle_alpha 90.00
_cell_angle_beta 106.93
_cell_angle_gamma 90.00
loop_
_space_group_symop_operation_xyz
'x,y,z'
'-x,-y,-z'
'-x,y,-z'
'x,-y,z'
loop_
_atom_site_label
_atom_site_fract_x
_atom_site_fract_y
_atom_site_fract_z
Tl1 0.000 0.244 0.000
Tl2 0.333 0.248 0.674
Hg1 0.175 0.500 0.340
Hg2 0.177 0.000 0.342
Hg3 0.500 0.000 0.000
Te1 0.500 0.500 0.000
```

Main lines, by angle (2θ = 10–90°):
- d 2.909, I = 57
- d 2.759, I = 100
- d 2.750, I = 99
- d 2.715, I = 48
- d 1.991, I = 20
- d 1.978, I = 19
- d 1.651, I = 22
- d 1.645, I = 21
- d 1.598, I = 20
- d 1.577, I = 19



(10)
Diffraction record for Tl7Hg12Te. The PXRD pattern is computed, not measured: it uses a PBE-relaxed structure and Cu Kα (λ = 1.5418 Å).
Intensities are scaled so that the largest is 100.

Structure:
```
data_Tl7Hg12Te
_chemical_formula_sum 'Tl21 Hg36 Te3'
_space_group_name_H-M_alt 'R -3'
_space_group_IT_number 148
_space_group_name_Hall '-R 3'
_cell_length_a 12.4374
_cell_length_b 12.4374
_cell_length_c 13.4598
_cell_angle_alpha 90.00
_cell_angle_beta 90.00
_cell_angle_gamma 120.00
loop_
_atom_site_label
_atom_site_fract_x
_atom_site_fract_y
_atom_site_fract_z
Tl1 0.0000 0.0000 0.0000
Tl2 0.0379 0.1813 0.2948
Hg1 0.0316 0.4490 0.1924
Hg2 0.0571 0.5907 0.5947
Te1 0.0000 0.0000 0.5000
```

Main lines, by angle (2θ = 10–90°):
- d 2.916, I = 100
- d 2.803, I = 22
- d 2.730, I = 42
- d 2.612, I = 18
- d 2.594, I = 45
- d 2.408, I = 20
- d 2.320, I = 12
- d 1.725, I = 12
- d 1.623, I = 17
- d 1.610, I = 12